Entry 1:
This entry pairs a crystal structure of MgAgCl4 with its simulated powder XRD pattern. Radiation: Cu Kα (weighted mean of Kα1 and Kα2). Structure: a crystal structure in Alexandria, relaxed with GGA-PBE.
Intensities are scaled so that the largest is 100.

Structure:
```
data_MgAgCl4
_cell_length_a 6.427
_cell_length_b 3.806
_cell_length_c 14.371
_cell_angle_alpha 90.00
_cell_angle_beta 116.40
_cell_angle_gamma 90.00
_symmetry_space_group_name_H-M 'P 1 21/c 1'
_symmetry_Int_Tables_number 14
loop_
_symmetry_equiv_pos_as_xyz
'x,y,z'
'-x,-y,-z'
'-x,y+1/2,-z+1/2'
'x,-y+1/2,z+1/2'
loop_
_atom_site_label
_atom_site_fract_x
_atom_site_fract_y
_atom_site_fract_z
_atom_site_occupancy
Mg1 0.000 0.000 0.000 1
Ag1 0.500 0.000 0.500 1
Cl1 0.062 0.004 0.394 1
Cl2 0.422 0.573 0.614 1
```

Main lines, low angle first (2θ from 5° to 70°):
(hkl)	2θ/deg	I_rel
0 0 2	13.76	100
1 0 0	15.41	32
1 1 -3	30.65	64
2 0 0	31.07	26
1 1 -5	39.26	40
2 0 2	39.58	17
3 1 -3	48.78	18
1 1 5	50.87	26


Entry 2:
This entry pairs a crystal structure of Pr2Ga2CuPt5 with its simulated powder XRD pattern. Radiation: Cu Kα (weighted mean of Kα1 and Kα2). Structure: a crystal structure in Alexandria, relaxed with GGA-PBE.
Intensities are scaled so that the largest is 100.

Structure:
```
data_Pr2Ga2CuPt5
_cell_length_a 10.214
_cell_length_b 10.214
_cell_length_c 3.539
_cell_angle_alpha 90.00
_cell_angle_beta 90.00
_cell_angle_gamma 90.00
_symmetry_space_group_name_H-M 'P 4/m b m'
_symmetry_Int_Tables_number 127
_symmetry_space_group_name_Hall '-P 4 2ab'
loop_
_atom_site_label
_atom_site_fract_x
_atom_site_fract_y
_atom_site_fract_z
_atom_site_occupancy
Pr1 0.176 0.324 0.000 1
Ga1 0.126 0.626 0.000 1
Cu1 0.000 0.000 0.000 1
Pt1 0.000 0.500 0.500 1
Pt2 0.055 0.805 0.500 1
```

Main lines, low angle first (2θ from 5° to 70°):
(hkl)	2θ/deg	I_rel
2 1 1	31.99	19
2 2 1	35.52	23
4 1 0	36.26	58
3 3 0	37.35	34
3 1 1	37.71	100
3 2 1	40.80	37
0 0 2	51.66	25
4 1 2	64.75	22


Entry 3:
This entry pairs a crystal structure of Pm2PrSm9 with its simulated powder XRD pattern. Radiation: Cu Kα (weighted mean of Kα1 and Kα2). Structure: a crystal structure in Alexandria, relaxed with GGA-PBE.
Intensities are scaled so that the largest is 100.

Structure:
```
data_Pm2PrSm9
_cell_length_a 11.5081
_cell_length_b 11.5081
_cell_length_c 3.5633
_cell_angle_alpha 90.00
_cell_angle_beta 90.00
_cell_angle_gamma 120.00
_symmetry_space_group_name_H-M 'P 6/m m m'
_symmetry_Int_Tables_number 191
_symmetry_space_group_name_Hall '-P 6 2'
loop_
_atom_site_label
_atom_site_fract_x
_atom_site_fract_y
_atom_site_fract_z
_atom_site_occupancy
Pm1 0.3333 0.6667 0.0000 1
Pr1 0.0000 0.0000 0.0000 1
Sm1 0.0000 0.5000 0.0000 1
Sm2 0.1748 0.3496 0.5000 1
```

Main lines, low angle first (2θ from 5° to 70°):
(hkl)	2θ/deg	I_rel
1 1 1	29.48	25
2 0 1	30.85	52
2 2 0	31.09	100
2 1 1	34.65	16
4 0 1	44.36	19
4 2 1	55.16	19
6 0 0	55.31	18
2 2 2	61.19	29


Entry 4:
This entry pairs a crystal structure of YSnSe3 with its simulated powder XRD pattern. Radiation: Cu Kα (weighted mean of Kα1 and Kα2). Structure: a crystal structure in Alexandria, relaxed with GGA-PBE.
Intensities are scaled so that the largest is 100.

Structure:
```
data_YSnSe3
_cell_length_a 6.9557
_cell_length_b 6.9557
_cell_length_c 7.0537
_cell_angle_alpha 90.00
_cell_angle_beta 90.00
_cell_angle_gamma 120.00
_symmetry_space_group_name_H-M 'P -6 c 2'
_symmetry_Int_Tables_number 188
_symmetry_space_group_name_Hall 'P -6c 2'
loop_
_atom_site_label
_atom_site_fract_x
_atom_site_fract_y
_atom_site_fract_z
_atom_site_occupancy
Y1 0.0000 0.0000 0.0000 1
Sn1 0.6667 0.3333 0.0000 1
Se1 0.3316 0.0047 0.2500 1
```

Main lines, low angle first (2θ from 5° to 70°):
(hkl)	2θ/deg	I_rel
1 0 0	14.71	54
1 1 1	28.62	74
1 0 2	29.35	18
1 1 2	36.28	100
3 0 0	45.16	49
1 1 3	46.63	19
2 2 1	54.34	12
2 2 2	59.25	24


Entry 5:
This entry pairs a crystal structure of Y2Cd5Au with its simulated powder XRD pattern. Radiation: Cu Kα (weighted mean of Kα1 and Kα2). Structure: a crystal structure in Alexandria, relaxed with GGA-PBE.
Intensities are scaled so that the largest is 100.

Structure:
```
data_Y2Cd5Au
_cell_length_a 4.7116
_cell_length_b 4.7116
_cell_length_c 32.5236
_cell_angle_alpha 90.00
_cell_angle_beta 90.00
_cell_angle_gamma 120.00
_symmetry_space_group_name_H-M 'R -3 m'
_symmetry_Int_Tables_number 166
_symmetry_space_group_name_Hall '-R 3 2"'
loop_
_atom_site_label
_atom_site_fract_x
_atom_site_fract_y
_atom_site_fract_z
_atom_site_occupancy
Y1 0.0000 0.0000 0.0909 1
Cd1 0.0000 0.0000 0.1965 1
Cd2 0.0000 0.0000 0.3645 1
Cd3 0.0000 0.0000 0.5000 1
Au1 0.0000 0.0000 0.0000 1
```

Main lines, low angle first (2θ from 5° to 70°):
(hkl)	2θ/deg	I_rel
0 0 6	16.35	31
0 1 5	25.77	17
1 0 7	29.13	40
1 0 10	35.29	41
0 1 11	37.57	44
1 1 0	38.20	100
1 1 6	41.81	18
3 0 0	69.06	17


Entry 6:
This entry pairs a crystal structure of Fe2Co13 with its simulated powder XRD pattern. Radiation: Cu Kα (weighted mean of Kα1 and Kα2). Structure: a crystal structure in Alexandria, relaxed with GGA-PBE.
Intensities are scaled so that the largest is 100.

Structure:
```
data_Fe2Co13
_cell_length_a 4.320
_cell_length_b 5.597
_cell_length_c 7.482
_cell_angle_alpha 102.91
_cell_angle_beta 106.48
_cell_angle_gamma 97.66
_symmetry_space_group_name_H-M 'P -1'
_symmetry_Int_Tables_number 2
loop_
_symmetry_equiv_pos_as_xyz
'x,y,z'
'-x,-y,-z'
loop_
_atom_site_label
_atom_site_fract_x
_atom_site_fract_y
_atom_site_fract_z
_atom_site_occupancy
Fe1 0.100 0.205 0.466 1
Co1 0.097 0.199 0.131 1
Co2 0.103 0.202 0.803 1
Co3 0.298 0.600 0.397 1
Co4 0.299 0.599 0.067 1
Co5 0.309 0.603 0.737 1
Co6 0.493 0.998 0.331 1
Co7 0.500 0.000 0.000 1
```

Main lines, low angle first (2θ from 5° to 70°):
(hkl)	2θ/deg	I_rel
1 2 0	44.42	100
1 -3 0	51.62	16
1 0 3	51.70	15
2 1 -3	51.97	15


Entry 7:
This entry pairs a crystal structure of CaH2Pt2 with its simulated powder XRD pattern. Radiation: Cu Kα (weighted mean of Kα1 and Kα2). Structure: a crystal structure in Alexandria, relaxed with GGA-PBE.
Intensities are scaled so that the largest is 100.

Structure:
```
data_CaH2Pt2
_cell_length_a 3.850
_cell_length_b 3.850
_cell_length_c 9.743
_cell_angle_alpha 90.00
_cell_angle_beta 90.00
_cell_angle_gamma 90.00
_symmetry_space_group_name_H-M 'I 4/m m m'
_symmetry_Int_Tables_number 139
_symmetry_space_group_name_Hall '-I 4 2'
loop_
_atom_site_label
_atom_site_fract_x
_atom_site_fract_y
_atom_site_fract_z
_atom_site_occupancy
Ca1 0.000 0.000 0.000 1
H1 0.000 0.500 0.250 1
Pt1 0.000 0.000 0.285 1
```

Main lines, low angle first (2θ from 5° to 70°):
(hkl)	2θ/deg	I_rel
0 0 2	18.21	100
1 1 0	32.90	90
1 0 3	36.19	59
1 1 2	37.86	63
2 0 0	47.22	34
1 1 4	50.26	25
2 0 2	51.02	29
2 1 3	60.90	26


Entry 8:
This entry pairs a crystal structure of Ac2Pr7Y2 with its simulated powder XRD pattern. Radiation: Cu Kα (weighted mean of Kα1 and Kα2). Structure: a crystal structure in Alexandria, relaxed with GGA-PBE.
Intensities are scaled so that the largest is 100.

Structure:
```
data_Ac2Pr7Y2
_cell_length_a 11.688
_cell_length_b 11.993
_cell_length_c 6.411
_cell_angle_alpha 90.00
_cell_angle_beta 113.59
_cell_angle_gamma 90.00
_symmetry_space_group_name_H-M 'C 1 2/m 1'
_symmetry_Int_Tables_number 12
loop_
_symmetry_equiv_pos_as_xyz
'x,y,z'
'-x,-y,-z'
'-x,y,-z'
'x,-y,z'
'x+1/2,y+1/2,z'
'-x+1/2,-y+1/2,-z'
'-x+1/2,y+1/2,-z'
'x+1/2,-y+1/2,z'
loop_
_atom_site_label
_atom_site_fract_x
_atom_site_fract_y
_atom_site_fract_z
_atom_site_occupancy
Ac1 0.098 0.000 0.315 1
Pr1 0.000 0.500 0.500 1
Pr2 0.176 0.257 0.682 1
Pr3 0.226 0.500 0.067 1
Y1 0.000 0.288 0.000 1
```

Main lines, low angle first (2θ from 5° to 70°):
(hkl)	2θ/deg	I_rel
3 1 -1	24.58	30
1 1 -2	29.09	27
0 4 0	29.80	40
2 2 1	30.60	100
2 2 -2	31.98	35
3 3 -1	32.51	25
4 4 -1	43.28	14
2 6 1	53.39	14


Entry 9:
This entry pairs a crystal structure of TbSm3Sb3 with its simulated powder XRD pattern. Radiation: Cu Kα (weighted mean of Kα1 and Kα2). Structure: a crystal structure in Alexandria, relaxed with GGA-PBE.
Intensities are scaled so that the largest is 100.

Structure:
```
data_TbSm3Sb3
_cell_length_a 9.1248
_cell_length_b 9.1248
_cell_length_c 18.7340
_cell_angle_alpha 90.00
_cell_angle_beta 90.00
_cell_angle_gamma 120.00
_symmetry_space_group_name_H-M 'R -3'
_symmetry_Int_Tables_number 148
_symmetry_space_group_name_Hall '-R 3'
loop_
_atom_site_label
_atom_site_fract_x
_atom_site_fract_y
_atom_site_fract_z
_atom_site_occupancy
Tb1 0.0000 0.0000 0.1668 1
Sm1 0.0045 0.7385 0.5864 1
Sb1 0.0048 0.6163 0.4204 1
```

Main lines, low angle first (2θ from 5° to 70°):
(hkl)	2θ/deg	I_rel
1 1 0	19.46	29
0 0 6	28.59	47
3 -1 1	30.30	53
3 -2 2	31.44	71
3 0 0	34.04	86
2 -1 6	34.82	100
3 -1 4	35.65	43
2 2 6	49.47	41


Entry 10:
This entry pairs a crystal structure of Au2I4F with its simulated powder XRD pattern. Radiation: Cu Kα (weighted mean of Kα1 and Kα2). Structure: a crystal structure in Alexandria, relaxed with GGA-PBE.
Intensities are scaled so that the largest is 100.

Structure:
```
data_Au2I4F
_cell_length_a 11.075
_cell_length_b 11.209
_cell_length_c 10.243
_cell_angle_alpha 90.00
_cell_angle_beta 122.42
_cell_angle_gamma 90.00
_symmetry_space_group_name_H-M 'C 1 c 1'
_symmetry_Int_Tables_number 9
loop_
_symmetry_equiv_pos_as_xyz
'x,y,z'
'x,-y,z+1/2'
'x+1/2,y+1/2,z'
'x+1/2,-y+1/2,z+1/2'
loop_
_atom_site_label
_atom_site_fract_x
_atom_site_fract_y
_atom_site_fract_z
_atom_site_occupancy
Au1 0.000 0.003 0.000 1
Au2 0.254 0.249 0.500 1
I1 0.003 0.248 0.999 1
I2 0.007 0.245 0.501 1
I3 0.250 0.014 0.502 1
I4 0.251 0.486 0.499 1
F1 0.305 0.255 0.998 1
```

Main lines, low angle first (2θ from 5° to 70°):
(hkl)	2θ/deg	I_rel
1 1 0	12.35	58
0 0 2	20.54	100
0 4 0	31.94	32
4 0 -2	32.34	31
0 4 2	38.28	39
4 0 0	38.52	19
4 0 -4	38.71	19
4 4 -2	46.09	22